No. 1
Diffraction record for K3ReCl7. The powder diffractogram is calculated, not measured: it uses a GGA-PBE-relaxed structure and a wavelength of 1.5418 Å.
Intensities are scaled so that the largest is 100.

Principal peaks in the range 10° ≤ 2θ ≤ 90°, most intense first:
- 2θ = 13.07°, rel. 100
- 2θ = 26.33°, rel. 56
- 2θ = 12.05°, rel. 53
- 2θ = 15.82°, rel. 52
- 2θ = 19.61°, rel. 51
- 2θ = 21.54°, rel. 49
- 2θ = 31.34°, rel. 46
- 2θ = 19.25°, rel. 35

Atomic structure:
Lattice parameters (Å, degrees): 6.932 6.932 7.664 101.49 101.49 92.04
Atoms (fractional coordinates):
K (0.000, 0.000, 0.000)
K (0.300, 0.746, 0.545)
K (0.746, 0.300, 0.545)
Re (0.491, 0.491, 0.033)
Cl (0.175, 0.512, 0.850)
Cl (0.346, 0.346, 0.240)
Cl (0.466, 0.811, 0.205)
Cl (0.512, 0.175, 0.850)
Cl (0.645, 0.645, 0.837)
Cl (0.811, 0.466, 0.205)
Cl (0.937, 0.937, 0.594)

***

No. 2
Diffraction record for K3ReCl8. The powder diffractogram is calculated, not measured: it uses a GGA-PBE-relaxed structure and a wavelength of 1.5418 Å.
Intensities are scaled so that the largest is 100.

Principal peaks in the range 10° ≤ 2θ ≤ 90°, most intense first:
- 2θ = 12.84°, rel. 100
- 2θ = 16.11°, rel. 49
- 2θ = 29.51°, rel. 41
- 2θ = 16.60°, rel. 32
- 2θ = 39.46°, rel. 31
- 2θ = 23.37°, rel. 30
- 2θ = 40.48°, rel. 23
- 2θ = 27.08°, rel. 23

Atomic structure:
Lattice parameters (Å, degrees): 7.729 7.729 9.131 90.00 90.00 116.91
Atoms (fractional coordinates):
K (0.000, 0.000, 0.000)
K (0.000, 0.500, 0.760)
K (0.500, 0.000, 0.240)
Re (0.000, 0.000, 0.500)
Cl (0.178, 0.822, 0.500)
Cl (0.204, 0.208, 0.681)
Cl (0.208, 0.204, 0.319)
Cl (0.229, 0.771, 0.000)
Cl (0.771, 0.229, 0.000)
Cl (0.792, 0.796, 0.319)
Cl (0.796, 0.792, 0.681)
Cl (0.822, 0.178, 0.500)

***

No. 3
Diffraction record for KRh2Cl. The powder diffractogram is calculated, not measured: it uses a GGA-PBE-relaxed structure and a wavelength of 1.5418 Å.
Intensities are scaled so that the largest is 100.

Principal peaks in the range 10° ≤ 2θ ≤ 90°, most intense first:
- 2θ = 12.33°, rel. 100
- 2θ = 31.23°, rel. 92
- 2θ = 46.50°, rel. 38
- 2θ = 39.61°, rel. 26
- 2θ = 48.30°, rel. 20
- 2θ = 24.81°, rel. 18
- 2θ = 50.24°, rel. 16
- 2θ = 57.09°, rel. 15

Atomic structure:
Lattice parameters (Å, degrees): 3.906 3.906 21.528 90.00 90.00 120.00
Atoms (fractional coordinates):
K (0.000, 0.000, 0.000)
K (0.333, 0.667, 0.667)
K (0.667, 0.333, 0.333)
Rh (0.000, 0.000, 0.492)
Rh (0.000, 0.000, 0.785)
Rh (0.333, 0.667, 0.159)
Rh (0.333, 0.667, 0.452)
Rh (0.667, 0.333, 0.118)
Rh (0.667, 0.333, 0.825)
Cl (0.000, 0.000, 0.237)
Cl (0.333, 0.667, 0.903)
Cl (0.667, 0.333, 0.570)